Entry 1:
The following is a computed powder X-ray diffraction pattern of Na2InCl3. It was derived from a structure optimized by DFT (GGA-PBE), using Cu Kα.
Lines closer than 0.1° are merged.

Principal peaks in the range 2θ from 10° to 90°, by intensity:
| two_theta | d/Å | intensity | hkl |
| --- | --- | --- | --- |
| 28.95 | 3.084 | 100.0 | 1 3 1 |
| 33.04 | 2.711 | 45.8 | 1 1 3 |
| 51.64 | 1.770 | 38.0 | 1 3 5 |
| 22.64 | 3.928 | 35.0 | 1 1 1 |
| 20.99 | 4.233 | 34.2 | 0 2 2 |
| 30.49 | 2.932 | 31.6 | 0 4 2 |
| 16.73 | 5.298 | 28.3 | 0 0 2 |
| 32.52 | 2.754 | 27.6 | 1 3 2 |
| 33.84 | 2.649 | 24.4 | 0 0 4 |
| 40.70 | 2.217 | 23.2 | 2 0 0 |

Crystal structure
Lattice parameters (Å, degrees): 4.4340 14.0813 10.5953 90.00 90.00 90.00
Space group Cmcm (No. 63)
Asymmetric unit:
Na 0.0000 0.0000 0.0000
Na 0.0000 0.4870 0.2500
In 0.0000 0.2422 0.7500
Cl 0.0000 0.0851 0.2500
Cl 0.0000 0.3725 0.0562



Entry 2:
The following is a computed powder X-ray diffraction pattern of NaIn3Cl6. It was derived from a structure optimized by DFT (GGA-PBE), using Cu Kα.
Lines closer than 0.1° are merged.

Principal peaks in the range 2θ from 10° to 90°, by intensity:
| two_theta | d/Å | intensity | hkl |
| --- | --- | --- | --- |
| 34.29 | 2.615 | 100.0 | 0 0 4 |
| 24.19 | 3.679 | 63.8 | 1 1 -3 |
| 23.94 | 3.717 | 63.2 | 1 1 1 |
| 24.79 | 3.592 | 50.5 | 2 0 -2 |
| 14.37 | 6.165 | 41.0 | 0 1 1 |
| 28.64 | 3.117 | 34.5 | 1 0 -4 |
| 42.97 | 2.105 | 29.0 | 3 1 -1 |
| 43.42 | 2.084 | 25.8 | 3 1 -5 |
| 23.30 | 3.818 | 25.4 | 0 2 0 |
| 38.45 | 2.341 | 21.4 | 1 3 0 |

Crystal structure
Lattice parameters (Å, degrees): 7.1903 7.6362 12.6002 90.00 123.98 90.00
Space group P2_1/c (No. 14)
Asymmetric unit:
Na 0.0000 0.0000 0.0000
In 0.2270 0.0735 0.7451
In 0.5000 0.0000 0.5000
Cl 0.1714 0.1834 0.4640
Cl 0.2747 0.7196 0.4574
Cl 0.3465 0.0212 0.2613



Entry 3:
The following is a computed powder X-ray diffraction pattern of Na3InCl6. It was derived from a structure optimized by DFT (GGA-PBE), using Cu Kα.
Lines closer than 0.1° are merged.

Principal peaks in the range 2θ from 10° to 90°, by intensity:
| two_theta | d/Å | intensity | hkl |
| --- | --- | --- | --- |
| 16.23 | 5.462 | 100.0 | 1 0 1 |
| 29.19 | 3.059 | 71.7 | 2 -1 2 |
| 38.43 | 2.342 | 59.8 | 2 -1 4 |
| 44.87 | 2.020 | 33.5 | 3 0 0 |
| 25.79 | 3.454 | 28.3 | 1 0 3 |
| 36.56 | 2.458 | 26.9 | 2 0 3 |
| 45.08 | 2.011 | 24.9 | 3 -1 3 |
| 14.62 | 6.060 | 21.6 | 1 0 0 |
| 14.04 | 6.306 | 20.5 | 0 0 2 |
| 50.66 | 1.802 | 17.9 | 1 1 6 |

Crystal structure
Lattice parameters (Å, degrees): 6.9972 6.9972 12.6125 90.00 90.00 120.00
Space group P-31c (No. 163)
Asymmetric unit:
Na 0.0000 0.0000 0.2500
Na 0.3333 0.6667 0.0387
In 0.3333 0.6667 0.7500
Cl 0.0475 0.3656 0.8708



Entry 4:
The following is a computed powder X-ray diffraction pattern of Na3InCl4. It was derived from a structure optimized by DFT (GGA-PBE), using Cu Kα.
Lines closer than 0.1° are merged.

Principal peaks in the range 2θ from 10° to 90°, by intensity:
| two_theta | d/Å | intensity | hkl |
| --- | --- | --- | --- |
| 20.80 | 4.271 | 100.0 | 0 2 1 |
| 36.43 | 2.466 | 84.5 | 0 4 0 |
| 47.85 | 1.901 | 73.7 | 2 4 0 |
| 29.95 | 2.984 | 52.4 | 2 0 0 |
| 36.74 | 2.446 | 42.7 | 2 2 1 |
| 13.71 | 6.459 | 26.1 | 0 1 1 |
| 17.38 | 5.104 | 23.4 | 1 1 0 |
| 22.66 | 3.924 | 19.0 | 0 1 2 |
| 18.12 | 4.895 | 17.4 | 1 0 1 |
| 18.01 | 4.924 | 14.1 | 0 2 0 |

Crystal structure
Lattice parameters (Å, degrees): 5.9675 9.8486 8.5568 90.00 90.00 90.00
Space group Pmmn (No. 59, origin choice 2)
Asymmetric unit:
Na 0.2500 0.0007 0.1642
Na 0.2500 0.2500 0.6749
In 0.2500 0.7500 0.6650
Cl 0.2500 0.0190 0.8468
Cl 0.2500 0.2500 0.3407
Cl 0.2500 0.7500 0.3044



Entry 5:
The following is a computed powder X-ray diffraction pattern of Na2In2Cl7. It was derived from a structure optimized by DFT (GGA-PBE), using Cu Kα.
Lines closer than 0.1° are merged.

Principal peaks in the range 2θ from 10° to 90°, by intensity:
| two_theta | d/Å | intensity | hkl |
| --- | --- | --- | --- |
| 19.42 | 4.571 | 100.0 | 0 2 1 |
| 19.14 | 4.637 | 58.1 | 1 1 1 |
| 14.40 | 6.149 | 56.2 | 0 2 0 |
| 32.60 | 2.747 | 47.4 | 3 1 -1 |
| 36.93 | 2.434 | 45.7 | 1 3 2 |
| 16.87 | 5.256 | 42.5 | 1 1 -1 |
| 20.51 | 4.331 | 31.0 | 2 0 0 |
| 48.28 | 1.885 | 27.4 | 4 2 1 |
| 30.43 | 2.937 | 27.4 | 1 1 2 |
| 49.17 | 1.853 | 25.5 | 3 5 -1 |

Crystal structure
Lattice parameters (Å, degrees): 8.7649 12.2978 6.9138 90.00 98.77 90.00
Space group C2/m (No. 12)
Asymmetric unit:
Na 0.0000 0.1948 0.0000
In 0.2345 0.0000 0.6154
Cl 0.0000 0.5000 0.5000
Cl 0.0677 0.0000 0.2714
Cl 0.2420 0.3240 0.2021



Entry 6:
The following is a computed powder X-ray diffraction pattern of Na3InCl4. It was derived from a structure optimized by DFT (GGA-PBE), using Cu Kα.
Lines closer than 0.1° are merged.

Principal peaks in the range 2θ from 10° to 90°, by intensity:
| two_theta | d/Å | intensity | hkl |
| --- | --- | --- | --- |
| 30.23 | 2.957 | 100.0 | 1 2 1 |
| 43.48 | 2.081 | 33.8 | 2 0 2 |
| 43.08 | 2.100 | 33.2 | 0 4 0 |
| 53.53 | 1.712 | 16.0 | 2 4 -2 |
| 12.92 | 6.854 | 12.7 | 1 0 0 |
| 71.04 | 1.327 | 11.8 | 1 6 1 |
| 24.96 | 3.568 | 9.5 | 0 2 1 |
| 62.87 | 1.478 | 9.4 | 2 4 2 |
| 10.54 | 8.397 | 9.1 | 0 1 0 |
| 16.83 | 5.269 | 9.0 | 0 1 1 |

Crystal structure
Lattice parameters (Å, degrees): 7.2769 8.3970 7.1849 90.00 109.62 90.00
Space group P2/c (No. 13)
Asymmetric unit:
Na 0.0000 0.1181 0.2500
Na 0.0000 0.3712 0.7500
Na 0.5000 0.1205 0.7500
In 0.5000 0.3744 0.2500
Cl 0.2181 0.3552 0.5013
Cl 0.2484 0.1128 0.9867



Entry 7:
The following is a computed powder X-ray diffraction pattern of NaInCl3. It was derived from a structure optimized by DFT (GGA-PBE), using Cu Kα.
Lines closer than 0.1° are merged.

Principal peaks in the range 2θ from 10° to 90°, by intensity:
| two_theta | d/Å | intensity | hkl |
| --- | --- | --- | --- |
| 13.74 | 6.446 | 100.0 | 0 1 1 |
| 15.68 | 5.651 | 54.7 | 1 0 -2 |
| 18.34 | 4.839 | 36.7 | 1 1 -1 |
| 20.77 | 4.277 | 25.9 | 1 0 2 |
| 28.54 | 3.127 | 22.9 | 1 2 0 |
| 23.20 | 3.833 | 19.4 | 1 1 -3 |
| 28.66 | 3.114 | 19.0 | 1 1 3 |
| 24.41 | 3.647 | 16.1 | 1 0 -4 |
| 42.15 | 2.144 | 13.8 | 2 2 2 |
| 32.75 | 2.735 | 12.5 | 2 1 1 |

Crystal structure
Lattice parameters (Å, degrees): 6.6454 7.1722 15.2858 90.00 105.92 90.00
Space group P2_1/c (No. 14)
Asymmetric unit:
Na 0.1841 0.0911 0.2471
In 0.3472 0.5117 0.4178
Cl 0.0390 0.1911 0.8846
Cl 0.1543 0.6955 0.8749
Cl 0.4502 0.0776 0.7802



Entry 8:
The following is a computed powder X-ray diffraction pattern of Na2PrInCl6. It was derived from a structure optimized by DFT (GGA-PBE), using Cu Kα.
Lines closer than 0.1° are merged.

Principal peaks in the range 2θ from 10° to 90°, by intensity:
| two_theta | d/Å | intensity | hkl |
| --- | --- | --- | --- |
| 16.60 | 5.340 | 100.0 | 0 1 2 |
| 36.67 | 2.451 | 69.5 | 2 -1 6 |
| 22.79 | 3.901 | 65.1 | 1 0 4 |
| 42.78 | 2.114 | 42.9 | 3 0 0 |
| 27.87 | 3.202 | 39.2 | 2 -1 3 |
| 24.31 | 3.662 | 35.2 | 1 1 0 |
| 41.87 | 2.157 | 34.1 | 3 -1 4 |
| 33.57 | 2.670 | 32.8 | 0 2 4 |
| 29.58 | 3.020 | 30.3 | 2 0 2 |
| 38.65 | 2.330 | 21.8 | 3 -2 2 |

Crystal structure
Lattice parameters (Å, degrees): 7.3234 7.3234 19.7929 90.00 90.00 120.00
Space group R3 (No. 146, hexagonal axes)
Asymmetric unit:
Na 0.0000 0.0000 0.0000
Na 0.0000 0.0000 0.4889
Pr 0.0000 0.0000 0.6877
In 0.0000 0.0000 0.2046
Cl 0.0124 0.3403 0.7535
Cl 0.0259 0.6169 0.2608